Calculated X-ray powder pattern
Compound: LiSc3Ga12
Radiation: a wavelength of 1.5418 Å
Structure: DFT lattice parameters and positions (PBE)
No peak broadening, texture or thermal motion is included.

Most intense lines, 2θ = 5–70°, by intensity:
| (hkl) | 2θ/deg | d (Å) | intensity |
| --- | --- | --- | --- |
| 1 1 4 | 38.0 | 2.368 | 1000 |
| 2 0 0 | 44.1 | 2.054 | 327 |
| 2 0 8 | 64.3 | 1.449 | 195 |
| 0 0 8 | 44.3 | 2.045 | 156 |
| 2 2 0 | 64.1 | 1.453 | 102 |
| 1 0 4 | 30.8 | 2.901 | 60 |
| 1 0 0 | 21.6 | 4.109 | 46 |
| 2 1 0 | 49.6 | 1.837 | 22 |
| 0 0 4 | 21.7 | 4.089 | 22 |
| 0 0 1 | 5.4 | 16.357 | 18 |

```
data_LiSc3Ga12
_chemical_formula_sum 'Li1 Sc3 Ga12'
_cell_length_a 4.1086
_cell_length_b 4.1086
_cell_length_c 16.3574
_cell_angle_alpha 90.00
_cell_angle_beta 90.00
_cell_angle_gamma 90.00
_space_group_name_H-M_alt 'P 1'
_space_group_IT_number 1
_space_group_name_Hall 'P 1'
loop_
_atom_site_label
_atom_site_type_symbol
_atom_site_fract_x
_atom_site_fract_y
_atom_site_fract_z
Li1 Li 0.0000 0.0000 0.0000
Sc1 Sc 0.0000 0.0000 0.2473
Sc2 Sc 0.0000 0.0000 0.5000
Sc3 Sc 0.0000 0.0000 0.7527
Ga1 Ga 0.0000 0.5000 0.1184
Ga2 Ga 0.0000 0.5000 0.3731
Ga3 Ga 0.0000 0.5000 0.6269
Ga4 Ga 0.0000 0.5000 0.8816
Ga5 Ga 0.5000 0.0000 0.1184
Ga6 Ga 0.5000 0.0000 0.3731
Ga7 Ga 0.5000 0.0000 0.6269
Ga8 Ga 0.5000 0.0000 0.8816
Ga9 Ga 0.5000 0.5000 0.0000
Ga10 Ga 0.5000 0.5000 0.2497
Ga11 Ga 0.5000 0.5000 0.5000
Ga12 Ga 0.5000 0.5000 0.7503
```